No. 1
Structure and calculated X-ray powder pattern of Y2LuFe3Co6 (the GGA-PBE geometry in OQMD; CuKα).
Intensities are scaled so that the largest is 100.

Atomic structure:
a = 8.385 Å, b = 8.385 Å, c = 8.385 Å
α = 35.09°, β = 35.09°, γ = 35.09°
Fractional positions:
Y 0.140 0.140 0.140
Y 0.860 0.860 0.860
Lu 0.000 0.000 0.000
Fe 0.333 0.333 0.333
Fe 0.500 0.500 0.500
Fe 0.667 0.667 0.667
Co 0.081 0.581 0.581
Co 0.419 0.419 0.919
Co 0.419 0.919 0.419
Co 0.581 0.081 0.581
Co 0.581 0.581 0.081
Co 0.919 0.419 0.419

Largest 12 diffraction maxima, sorted by position, 10° ≤ 2θ ≤ 80°:
33.57 deg, intensity 36; 35.52 deg, intensity 42; 36.76 deg, intensity 33; 41.43 deg, intensity 41; 41.98 deg, intensity 18; 42.52 deg, intensity 100; 46.19 deg, intensity 16; 62.54 deg, intensity 12; 64.59 deg, intensity 12; 68.60 deg, intensity 23; 70.55 deg, intensity 19; 75.18 deg, intensity 21

***

No. 2
Structure and calculated X-ray powder pattern of YLu2Fe3Co6 (the GGA-PBE geometry in OQMD; CuKα).
Intensities are scaled so that the largest is 100.

Atomic structure:
a = 8.338 Å, b = 8.338 Å, c = 8.338 Å
α = 35.17°, β = 35.17°, γ = 35.17°
Fractional positions:
Y 0.000 0.000 0.000
Lu 0.141 0.141 0.141
Lu 0.859 0.859 0.859
Fe 0.334 0.334 0.334
Fe 0.500 0.500 0.500
Fe 0.666 0.666 0.666
Co 0.080 0.585 0.585
Co 0.415 0.415 0.920
Co 0.415 0.920 0.415
Co 0.585 0.080 0.585
Co 0.585 0.585 0.080
Co 0.920 0.415 0.415

Largest 12 diffraction maxima, sorted by position, 10° ≤ 2θ ≤ 80°:
11.32 deg, intensity 27; 33.74 deg, intensity 49; 35.65 deg, intensity 58; 36.95 deg, intensity 34; 41.58 deg, intensity 41; 42.71 deg, intensity 100; 44.31 deg, intensity 22; 45.89 deg, intensity 22; 47.48 deg, intensity 22; 68.90 deg, intensity 23; 70.97 deg, intensity 22; 75.49 deg, intensity 24

***

No. 3
Structure and calculated X-ray powder pattern of Y2LuFe7Co2 (the GGA-PBE geometry in OQMD; CuKα).
Intensities are scaled so that the largest is 100.

Atomic structure:
a = 8.621 Å, b = 8.621 Å, c = 8.621 Å
α = 33.92°, β = 33.92°, γ = 33.92°
Fractional positions:
Y 0.142 0.142 0.142
Y 0.858 0.858 0.858
Lu 0.000 0.000 0.000
Fe 0.082 0.580 0.580
Fe 0.420 0.420 0.918
Fe 0.420 0.918 0.420
Fe 0.500 0.500 0.500
Fe 0.580 0.082 0.580
Fe 0.580 0.580 0.082
Fe 0.918 0.420 0.420
Co 0.332 0.332 0.332
Co 0.668 0.668 0.668

Largest 12 diffraction maxima, sorted by position, 10° ≤ 2θ ≤ 80°:
32.95 deg, intensity 36; 35.71 deg, intensity 42; 36.00 deg, intensity 30; 41.64 deg, intensity 35; 42.16 deg, intensity 15; 42.28 deg, intensity 100; 44.65 deg, intensity 18; 62.41 deg, intensity 11; 64.34 deg, intensity 11; 68.67 deg, intensity 22; 69.12 deg, intensity 11; 75.64 deg, intensity 19

***

No. 4
Structure and calculated X-ray powder pattern of Y2LuFe2Co7 (the GGA-PBE geometry in OQMD; CuKα).
Intensities are scaled so that the largest is 100.

Atomic structure:
a = 8.437 Å, b = 8.437 Å, c = 8.437 Å
α = 34.66°, β = 34.66°, γ = 34.66°
Fractional positions:
Y 0.140 0.140 0.140
Y 0.860 0.860 0.860
Lu 0.000 0.000 0.000
Fe 0.334 0.334 0.334
Fe 0.666 0.666 0.666
Co 0.080 0.582 0.582
Co 0.418 0.418 0.920
Co 0.418 0.920 0.418
Co 0.500 0.500 0.500
Co 0.582 0.080 0.582
Co 0.582 0.582 0.080
Co 0.920 0.418 0.418

Largest 12 diffraction maxima, sorted by position, 10° ≤ 2θ ≤ 80°:
33.47 deg, intensity 35; 35.72 deg, intensity 42; 36.62 deg, intensity 34; 41.67 deg, intensity 39; 42.21 deg, intensity 18; 42.60 deg, intensity 100; 45.83 deg, intensity 28; 62.75 deg, intensity 11; 64.77 deg, intensity 12; 68.91 deg, intensity 22; 70.32 deg, intensity 12; 75.67 deg, intensity 21

***

No. 5
Structure and calculated X-ray powder pattern of FeCo4Mo2 (the GGA-PBE geometry in OQMD; CuKα).
Intensities are scaled so that the largest is 100.

Atomic structure:
a = 2.636 Å, b = 2.636 Å, c = 14.862 Å
α = 90.00°, β = 90.00°, γ = 120.00°
Fractional positions:
Fe 0.000 0.000 0.000
Co 0.333 0.667 0.435
Co 0.333 0.667 0.870
Co 0.667 0.333 0.130
Co 0.667 0.333 0.565
Mo 0.333 0.667 0.708
Mo 0.667 0.333 0.292

Largest 12 diffraction maxima, sorted by position, 10° ≤ 2θ ≤ 80°:
30.06 deg, intensity 16; 39.48 deg, intensity 28; 39.96 deg, intensity 100; 41.38 deg, intensity 38; 42.58 deg, intensity 62; 43.66 deg, intensity 41; 46.70 deg, intensity 81; 50.41 deg, intensity 46; 54.68 deg, intensity 39; 59.46 deg, intensity 14; 64.69 deg, intensity 17; 71.60 deg, intensity 41

***

No. 6
Structure and calculated X-ray powder pattern of FeCoMo4N2 (the GGA-PBE geometry in OQMD; CuKα).
Intensities are scaled so that the largest is 100.

Atomic structure:
a = 2.797 Å, b = 2.797 Å, c = 14.396 Å
α = 90.00°, β = 90.00°, γ = 120.00°
Fractional positions:
Fe 0.000 0.000 0.000
Co 0.333 0.667 0.500
Mo 0.000 0.000 0.352
Mo 0.000 0.000 0.648
Mo 0.333 0.667 0.155
Mo 0.333 0.667 0.845
N 0.667 0.333 0.253
N 0.667 0.333 0.747

Largest 12 diffraction maxima, sorted by position, 10° ≤ 2θ ≤ 80°:
24.74 deg, intensity 9; 37.11 deg, intensity 20; 37.48 deg, intensity 22; 37.66 deg, intensity 6; 41.77 deg, intensity 100; 45.12 deg, intensity 6; 53.77 deg, intensity 15; 58.91 deg, intensity 9; 66.90 deg, intensity 18; 70.56 deg, intensity 11; 72.51 deg, intensity 3; 79.29 deg, intensity 14